Structure and computed XRD peak list of ZrC8N2Cl6 (a crystal structure in Alexandria, relaxed with GGA-PBE; Cu Kα X-rays).

Main lines, most intense first (10° ≤ 2θ ≤ 90°):
- 2θ 12.01, I = 100
- 2θ 32.14, I = 88
- 2θ 14.30, I = 80
- 2θ 28.84, I = 31
- 2θ 21.17, I = 29
- 2θ 42.34, I = 26

Crystal structure
Unit cell a=8.5302 b=8.5302 c=8.5302 alpha=51.77 beta=51.77 gamma=51.77
Atoms (fractional coordinates):
Zr: 0.0000 0.0000 0.0000
C: 0.0644 0.3504 0.3504
C: 0.2936 0.2936 0.2936
C: 0.3504 0.0644 0.3504
C: 0.3504 0.3504 0.0644
C: 0.6563 0.6563 0.8999
C: 0.6563 0.8999 0.6563
C: 0.6892 0.6892 0.6892
C: 0.8999 0.6563 0.6563
N: 0.2143 0.2143 0.2143
N: 0.7853 0.7853 0.7853
Cl: 0.2209 0.2209 0.7503
Cl: 0.2209 0.7503 0.2209
Cl: 0.2398 0.7762 0.7762
Cl: 0.7503 0.2209 0.2209
Cl: 0.7762 0.2398 0.7762
Cl: 0.7762 0.7762 0.2398


Structure and computed XRD peak list of Na2CClO3 (a crystal structure in Alexandria, relaxed with GGA-PBE; Cu Kα X-rays).

Main lines, most intense first (10° ≤ 2θ ≤ 90°):
- 2θ 37.90, I = 100
- 2θ 35.14, I = 58
- 2θ 13.07, I = 39
- 2θ 28.79, I = 31
- 2θ 49.39, I = 30
- 2θ 31.74, I = 25

Crystal structure
Unit cell a=7.6615 b=7.6615 c=7.6615 alpha=47.75 beta=47.75 gamma=47.75
Atoms (fractional coordinates):
Na: 0.0000 0.0000 0.0000
Na: 0.0000 0.0000 0.5000
Na: 0.0000 0.5000 0.0000
Na: 0.5000 0.0000 0.0000
C: 0.4283 0.4283 0.4283
C: 0.5717 0.5717 0.5717
Cl: 0.2613 0.2613 0.2613
Cl: 0.7387 0.7387 0.7387
O: 0.3091 0.3091 0.6696
O: 0.3091 0.6696 0.3091
O: 0.3304 0.6909 0.6909
O: 0.6696 0.3091 0.3091
O: 0.6909 0.3304 0.6909
O: 0.6909 0.6909 0.3304


Structure and computed XRD peak list of NaW2CCl (a crystal structure in Alexandria, relaxed with GGA-PBE; Cu Kα X-rays).

Main lines, most intense first (10° ≤ 2θ ≤ 90°):
- 2θ 12.43, I = 100
- 2θ 33.84, I = 66
- 2θ 25.01, I = 40
- 2θ 49.98, I = 22
- 2θ 52.10, I = 21
- 2θ 40.51, I = 21

Crystal structure
Unit cell a=4.0358 b=4.0358 c=7.1198 alpha=90.00 beta=90.00 gamma=90.00
Atoms (fractional coordinates):
Na: 0.0000 0.0000 0.0000
W: 0.0000 0.5000 0.5000
W: 0.5000 0.0000 0.5000
C: 0.0000 0.0000 0.5000
Cl: 0.5000 0.5000 0.0000


Structure and computed XRD peak list of Nb2CCl2 (a crystal structure in Alexandria, relaxed with GGA-PBE; Cu Kα X-rays).

Main lines, most intense first (10° ≤ 2θ ≤ 90°):
- 2θ 39.70, I = 100
- 2θ 37.79, I = 72
- 2θ 34.55, I = 60
- 2θ 54.91, I = 44
- 2θ 31.03, I = 42
- 2θ 33.27, I = 34

Crystal structure
Unit cell a=3.3443 b=3.3443 c=29.2602 alpha=90.00 beta=90.00 gamma=120.00
Atoms (fractional coordinates):
Nb: 0.0000 0.0000 0.1298
Nb: 0.0000 0.0000 0.8702
Nb: 0.3333 0.6667 0.5369
Nb: 0.3333 0.6667 0.7965
Nb: 0.6667 0.3333 0.2035
Nb: 0.6667 0.3333 0.4631
C: 0.0000 0.0000 0.5000
C: 0.3333 0.6667 0.1667
C: 0.6667 0.3333 0.8333
Cl: 0.0000 0.0000 0.2653
Cl: 0.0000 0.0000 0.7347
Cl: 0.3333 0.6667 0.4014
Cl: 0.3333 0.6667 0.9319
Cl: 0.6667 0.3333 0.0681
Cl: 0.6667 0.3333 0.5986


Structure and computed XRD peak list of Nd6CCl12 (a crystal structure in Alexandria, relaxed with GGA-PBE; Cu Kα X-rays).

Main lines, most intense first (10° ≤ 2θ ≤ 90°):
- 2θ 35.06, I = 100
- 2θ 23.17, I = 80
- 2θ 30.74, I = 59
- 2θ 14.51, I = 58
- 2θ 36.40, I = 50
- 2θ 48.37, I = 39

Crystal structure
Unit cell a=8.1438 b=8.1438 c=8.1438 alpha=74.62 beta=74.62 gamma=74.62
Atoms (fractional coordinates):
Nd: 0.2790 0.2790 0.6940
Nd: 0.2790 0.6940 0.2790
Nd: 0.3060 0.7210 0.7210
Nd: 0.6940 0.2790 0.2790
Nd: 0.7210 0.3060 0.7210
Nd: 0.7210 0.7210 0.3060
C: 0.5000 0.5000 0.5000
Cl: 0.0531 0.0531 0.6747
Cl: 0.0531 0.6747 0.0531
Cl: 0.0617 0.6103 0.6103
Cl: 0.3253 0.9469 0.9469
Cl: 0.3897 0.3897 0.9383
Cl: 0.3897 0.9383 0.3897
Cl: 0.6103 0.0617 0.6103
Cl: 0.6103 0.6103 0.0617
Cl: 0.6747 0.0531 0.0531
Cl: 0.9383 0.3897 0.3897
Cl: 0.9469 0.3253 0.9469
Cl: 0.9469 0.9469 0.3253


Structure and computed XRD peak list of OsC4Cl2O4 (a crystal structure in Alexandria, relaxed with GGA-PBE; Cu Kα X-rays).

Main lines, most intense first (10° ≤ 2θ ≤ 90°):
- 2θ 14.91, I = 100
- 2θ 14.29, I = 58
- 2θ 19.74, I = 47
- 2θ 21.63, I = 40
- 2θ 34.59, I = 39
- 2θ 30.25, I = 38

Crystal structure
Unit cell a=6.4634 b=6.4634 c=12.4732 alpha=93.44 beta=93.44 gamma=112.59
Atoms (fractional coordinates):
Os: 0.0643 0.9357 0.7500
Os: 0.9357 0.0643 0.2500
C: 0.0936 0.7206 0.8425
C: 0.1881 0.2994 0.3411
C: 0.2794 0.9064 0.6575
C: 0.2994 0.1881 0.8411
C: 0.7006 0.8119 0.1589
C: 0.7206 0.0936 0.3425
C: 0.8119 0.7006 0.6589
C: 0.9064 0.2794 0.1575
Cl: 0.0288 0.2221 0.6402
Cl: 0.2221 0.0288 0.1402
Cl: 0.7779 0.9712 0.8598
Cl: 0.9712 0.7779 0.3598
O: 0.1139 0.5941 0.8995
O: 0.3364 0.4371 0.3916
O: 0.4059 0.8861 0.6005
O: 0.4371 0.3364 0.8916
O: 0.5629 0.6636 0.1084
O: 0.5941 0.1139 0.3995
O: 0.6636 0.5629 0.6084
O: 0.8861 0.4059 0.1005


Structure and computed XRD peak list of OsC4Cl2O4 (a crystal structure in Alexandria, relaxed with GGA-PBE; Cu Kα X-rays).

Main lines, most intense first (10° ≤ 2θ ≤ 90°):
- 2θ 16.12, I = 100
- 2θ 14.50, I = 42
- 2θ 25.11, I = 35
- 2θ 33.35, I = 34
- 2θ 20.40, I = 33
- 2θ 39.50, I = 24

Crystal structure
Unit cell a=6.1580 b=6.1580 c=12.2202 alpha=90.00 beta=90.00 gamma=90.00
Atoms (fractional coordinates):
Os: 0.0000 0.0000 0.0000
Os: 0.5000 0.5000 0.5000
C: 0.1589 0.1589 0.1147
C: 0.1589 0.1589 0.8853
C: 0.3411 0.6589 0.3853
C: 0.3411 0.6589 0.6147
C: 0.6589 0.3411 0.3853
C: 0.6589 0.3411 0.6147
C: 0.8411 0.8411 0.1147
C: 0.8411 0.8411 0.8853
Cl: 0.2195 0.2195 0.5000
Cl: 0.2805 0.7195 0.0000
Cl: 0.7195 0.2805 0.0000
Cl: 0.7805 0.7805 0.5000
O: 0.2486 0.2486 0.1836
O: 0.2486 0.2486 0.8164
O: 0.2514 0.7486 0.3164
O: 0.2514 0.7486 0.6836
O: 0.7486 0.2514 0.3164
O: 0.7486 0.2514 0.6836
O: 0.7514 0.7514 0.1836
O: 0.7514 0.7514 0.8164


Structure and computed XRD peak list of Pb2CCl2O3 (a crystal structure in Alexandria, relaxed with GGA-PBE; Cu Kα X-rays).

Main lines, most intense first (10° ≤ 2θ ≤ 90°):
- 2θ 31.27, I = 100
- 2θ 24.08, I = 54
- 2θ 19.65, I = 49
- 2θ 39.87, I = 34
- 2θ 34.32, I = 29
- 2θ 49.77, I = 27

Crystal structure
Unit cell a=8.2631 b=8.2631 c=9.0370 alpha=90.00 beta=90.00 gamma=90.00
Atoms (fractional coordinates):
Pb: 0.1680 0.3320 0.2410
Pb: 0.1680 0.3320 0.7590
Pb: 0.3320 0.8320 0.2410
Pb: 0.3320 0.8320 0.7590
Pb: 0.6680 0.1680 0.2410
Pb: 0.6680 0.1680 0.7590
Pb: 0.8320 0.6680 0.2410
Pb: 0.8320 0.6680 0.7590
C: 0.1775 0.6775 0.5000
C: 0.3225 0.1775 0.5000
C: 0.6775 0.8225 0.5000
C: 0.8225 0.3225 0.5000
Cl: 0.0000 0.0000 0.2516
Cl: 0.0000 0.0000 0.7484
Cl: 0.1479 0.6479 0.0000
Cl: 0.3521 0.1479 0.0000
Cl: 0.5000 0.5000 0.2516
Cl: 0.5000 0.5000 0.7484
Cl: 0.6479 0.8521 0.0000
Cl: 0.8521 0.3521 0.0000
O: 0.1278 0.6278 0.3723
O: 0.1278 0.6278 0.6277
O: 0.2098 0.2902 0.5000
O: 0.2902 0.7902 0.5000
O: 0.3722 0.1278 0.3723
O: 0.3722 0.1278 0.6277
O: 0.6278 0.8722 0.3723
O: 0.6278 0.8722 0.6277
O: 0.7098 0.2098 0.5000
O: 0.7902 0.7098 0.5000
O: 0.8722 0.3722 0.3723
O: 0.8722 0.3722 0.6277


Structure and computed XRD peak list of Pb2CCl2O3 (a crystal structure in Alexandria, relaxed with GGA-PBE; Cu Kα X-rays).

Main lines, most intense first (10° ≤ 2θ ≤ 90°):
- 2θ 20.73, I = 100
- 2θ 22.85, I = 95
- 2θ 22.33, I = 72
- 2θ 29.83, I = 33
- 2θ 27.66, I = 31
- 2θ 19.15, I = 29

Crystal structure
Unit cell a=8.6208 b=8.9691 c=9.4329 alpha=98.22 beta=96.71 gamma=90.50
Atoms (fractional coordinates):
Pb: 0.0000 0.0000 0.0000
Pb: 0.0017 0.4519 0.0709
Pb: 0.0319 0.9605 0.4796
Pb: 0.4152 0.2121 0.9075
Pb: 0.4354 0.7229 0.3176
Pb: 0.4570 0.1819 0.4078
Pb: 0.5763 0.7281 0.8415
Pb: 0.8909 0.4547 0.5488
C: 0.0367 0.2639 0.7677
C: 0.3980 0.8966 0.6207
C: 0.5679 0.3547 0.6939
C: 0.8604 0.7923 0.7112
Cl: 0.0930 0.2027 0.2852
Cl: 0.1307 0.6302 0.3612
Cl: 0.3030 0.5320 0.0225
Cl: 0.3722 0.9654 0.1073
Cl: 0.6213 0.4657 0.3067
Cl: 0.6907 0.9681 0.4124
Cl: 0.7542 0.1881 0.0244
Cl: 0.8470 0.7311 0.0794
O: 0.0196 0.2004 0.6352
O: 0.1094 0.1994 0.8723
O: 0.3291 0.9605 0.5134
O: 0.4087 0.9584 0.7531
O: 0.4385 0.2690 0.6677
O: 0.4556 0.7635 0.5900
O: 0.5980 0.4410 0.8132
O: 0.6564 0.3385 0.5900
O: 0.7795 0.6649 0.6808
O: 0.8018 0.8988 0.7959
O: 0.9824 0.3980 0.7984
O: 0.9921 0.8066 0.6629


Structure and computed XRD peak list of PbCClO2 (a crystal structure in Alexandria, relaxed with GGA-PBE; Cu Kα X-rays).

Main lines, most intense first (10° ≤ 2θ ≤ 90°):
- 2θ 23.46, I = 100
- 2θ 22.24, I = 97
- 2θ 18.52, I = 71
- 2θ 33.86, I = 57
- 2θ 42.46, I = 44
- 2θ 35.27, I = 41

Crystal structure
Unit cell a=4.2685 b=4.2685 c=9.6327 alpha=94.10 beta=94.10 gamma=89.44
Atoms (fractional coordinates):
Pb: 0.2435 0.2435 0.2229
Pb: 0.7565 0.7565 0.7771
C: 0.1296 0.8704 0.5000
C: 0.8704 0.1296 0.5000
Cl: 0.2256 0.2256 0.8846
Cl: 0.7744 0.7744 0.1154
O: 0.1742 0.7196 0.6085
O: 0.2804 0.8258 0.3915
O: 0.7196 0.1742 0.6085
O: 0.8258 0.2804 0.3915


Structure and computed XRD peak list of PtC2Cl2O2 (a crystal structure in Alexandria, relaxed with GGA-PBE; Cu Kα X-rays).

Main lines, most intense first (10° ≤ 2θ ≤ 90°):
- 2θ 13.01, I = 100
- 2θ 12.24, I = 72
- 2θ 13.87, I = 69
- 2θ 17.90, I = 63
- 2θ 26.34, I = 46
- 2θ 25.70, I = 41

Crystal structure
Unit cell a=7.4771 b=13.6061 c=7.1707 alpha=90.00 beta=104.80 gamma=90.00
Atoms (fractional coordinates):
Pt: 0.1049 0.2319 0.2293
Pt: 0.1049 0.2681 0.7293
Pt: 0.8951 0.7319 0.2707
Pt: 0.8951 0.7681 0.7707
C: 0.1021 0.6461 0.3255
C: 0.1021 0.8539 0.8255
C: 0.2878 0.1320 0.2789
C: 0.2878 0.3680 0.7789
C: 0.7122 0.6320 0.2211
C: 0.7122 0.8680 0.7211
C: 0.8979 0.1461 0.1745
C: 0.8979 0.3539 0.6745
Cl: 0.1060 0.6394 0.8277
Cl: 0.1060 0.8606 0.3277
Cl: 0.3453 0.1558 0.7903
Cl: 0.3453 0.3442 0.2903
Cl: 0.6547 0.6558 0.7097
Cl: 0.6547 0.8442 0.2097
Cl: 0.8940 0.1394 0.6723
Cl: 0.8940 0.3606 0.1723
O: 0.2295 0.5959 0.3609
O: 0.2295 0.9041 0.8609
O: 0.4003 0.0726 0.3090
O: 0.4003 0.4274 0.8090
O: 0.5997 0.5726 0.1910
O: 0.5997 0.9274 0.6910
O: 0.7705 0.0959 0.1391
O: 0.7705 0.4041 0.6391